Entry 1:
Computed powder X-ray diffraction pattern
Compound: PmNp2Te4
Radiation: Cu Kα
Structure: a structure optimized by DFT (GGA-PBE)
No peak broadening, texture or thermal motion is included.

Peak list (10 most intense, 2θ from 10° to 80°, by angle)
2θ/deg  I_rel
21.5  94.6
26.6  51.8
27.9  42.7
28.5  78.6
30.3  100.0
36.8  79.9
41.7  45.0
41.8  40.4
42.0  58.3
60.7  31.6

Crystal structure
Lattice parameters (Å, degrees): 7.513 7.513 15.142 90.00 90.00 146.76
Positions (direct):
Pm1 0.118 0.882 0.750
Pm2 0.882 0.118 0.250
Np1 0.364 0.636 0.566
Np2 0.364 0.636 0.934
Np3 0.636 0.364 0.066
Np4 0.636 0.364 0.434
Te1 0.000 0.000 0.000
Te2 0.000 0.000 0.500
Te3 0.279 0.721 0.125
Te4 0.279 0.721 0.375
Te5 0.457 0.543 0.750
Te6 0.543 0.457 0.250
Te7 0.721 0.279 0.625
Te8 0.721 0.279 0.875


Entry 2:
Computed powder X-ray diffraction pattern
Compound: PrNpRu
Radiation: Cu Kα
Structure: a structure optimized by DFT (GGA-PBE)
No peak broadening, texture or thermal motion is included.

Peak list (10 most intense, 2θ from 10° to 80°, by angle)
2θ/deg  I_rel
20.6  51.1
23.3  42.7
30.4  42.2
33.6  100.0
35.9  33.6
38.3  74.8
40.2  53.9
41.3  33.1
41.4  33.5
44.1  96.3

Crystal structure
Lattice parameters (Å, degrees): 12.495 12.041 4.927 83.65 73.28 23.07
Positions (direct):
Pr1 0.048 0.702 0.048
Pr2 0.298 0.952 0.298
Pr3 0.702 0.048 0.702
Pr4 0.952 0.298 0.952
Np1 0.001 0.001 0.749
Np2 0.251 0.251 0.999
Np3 0.749 0.749 0.001
Np4 0.999 0.999 0.251
Ru1 0.311 0.311 0.439
Ru2 0.439 0.439 0.311
Ru3 0.561 0.561 0.689
Ru4 0.689 0.689 0.561


Entry 3:
Computed powder X-ray diffraction pattern
Compound: Pr2Np3S8
Radiation: Cu Kα
Structure: a structure optimized by DFT (GGA-PBE)
No peak broadening, texture or thermal motion is included.

Peak list (10 most intense, 2θ from 10° to 80°, by angle)
2θ/deg  I_rel
13.3  94.8
20.5  92.4
23.0  100.0
26.0  50.9
26.2  76.8
27.2  96.6
34.1  99.4
34.9  50.9
41.2  79.3
45.8  77.9

Crystal structure
Lattice parameters (Å, degrees): 8.130 8.130 6.850 107.26 107.26 59.02
Positions (direct):
Pr1 0.232 0.232 0.161
Pr2 0.768 0.768 0.839
Np1 0.243 0.757 0.500
Np2 0.500 0.500 0.000
Np3 0.757 0.243 0.500
S1 0.111 0.111 0.416
S2 0.148 0.607 0.093
S3 0.388 0.388 0.577
S4 0.393 0.852 0.907
S5 0.607 0.148 0.093
S6 0.612 0.612 0.423
S7 0.852 0.393 0.907
S8 0.889 0.889 0.584


Entry 4:
Computed powder X-ray diffraction pattern
Compound: Pr4NpS7
Radiation: Cu Kα
Structure: a structure optimized by DFT (GGA-PBE)
No peak broadening, texture or thermal motion is included.

Peak list (10 most intense, 2θ from 10° to 80°, by angle)
2θ/deg  I_rel
23.2  100.0
23.4  38.2
23.6  90.5
25.2  47.2
26.6  45.6
30.2  48.8
31.8  74.3
32.9  40.2
40.7  34.2
45.6  48.1

Crystal structure
Lattice parameters (Å, degrees): 6.991 6.991 11.935 104.54 104.54 33.08
Positions (direct):
Pr1 0.000 0.000 0.000
Pr2 0.189 0.189 0.767
Pr3 0.584 0.584 0.381
Pr4 0.886 0.886 0.572
Np1 0.771 0.771 0.150
S1 0.155 0.155 0.223
S2 0.226 0.226 0.523
S3 0.380 0.380 0.077
S4 0.546 0.546 0.624
S5 0.626 0.626 0.927
S6 0.845 0.845 0.790
S7 0.926 0.926 0.353


Entry 5:
Computed powder X-ray diffraction pattern
Compound: Pr5NpS8
Radiation: Cu Kα
Structure: a structure optimized by DFT (GGA-PBE)
No peak broadening, texture or thermal motion is included.

Peak list (10 most intense, 2θ from 10° to 80°, by angle)
2θ/deg  I_rel
25.4  100.0
29.4  9.9
32.9  86.8
39.2  55.3
47.2  24.5
47.3  13.8
49.7  25.1
54.3  21.7
67.0  23.2
67.2  11.6

Crystal structure
Lattice parameters (Å, degrees): 7.451 7.451 7.451 109.38 109.38 109.65
Positions (direct):
Pr1 0.000 0.000 0.000
Pr2 0.253 0.126 0.624
Pr3 0.371 0.747 0.874
Pr4 0.503 0.629 0.376
Pr5 0.874 0.497 0.126
Np1 0.750 0.250 0.500
S1 0.119 0.371 0.895
S2 0.124 0.375 0.403
S3 0.278 0.876 0.250
S4 0.476 0.224 0.105
S5 0.625 0.028 0.750
S6 0.629 0.524 0.748
S7 0.776 0.881 0.252
S8 0.972 0.722 0.597


Entry 6:
Computed powder X-ray diffraction pattern
Compound: PrTmNp2S4
Radiation: Cu Kα
Structure: a structure optimized by DFT (GGA-PBE)
No peak broadening, texture or thermal motion is included.

Peak list (10 most intense, 2θ from 10° to 80°, by angle)
2θ/deg  I_rel
27.5  24.3
27.7  47.5
27.9  23.3
32.1  100.0
45.7  24.8
46.0  24.4
46.3  24.1
54.4  15.9
54.8  11.7
57.2  12.8

Crystal structure
Lattice parameters (Å, degrees): 6.786 3.946 6.890 90.00 109.58 90.00
Positions (direct):
Pr1 0.000 0.000 0.000
Tm1 0.000 0.500 0.500
Np1 0.500 0.000 0.500
Np2 0.500 0.500 0.000
S1 0.250 0.000 0.741
S2 0.258 0.500 0.264
S3 0.742 0.500 0.736
S4 0.750 0.000 0.259


Entry 7:
Computed powder X-ray diffraction pattern
Compound: Pr4NpSe5
Radiation: Cu Kα
Structure: a structure optimized by DFT (GGA-PBE)
No peak broadening, texture or thermal motion is included.

Peak list (10 most intense, 2θ from 10° to 80°, by angle)
2θ/deg  I_rel
25.8  21.0
29.8  100.0
42.7  74.8
50.5  10.6
52.9  26.8
62.0  8.3
70.2  10.9
70.3  22.7
78.1  8.0
78.2  16.8

Crystal structure
Lattice parameters (Å, degrees): 15.294 15.294 15.294 164.09 164.09 22.57
Positions (direct):
Pr1 0.100 0.100 0.000
Pr2 0.303 0.303 0.000
Pr3 0.697 0.697 0.000
Pr4 0.900 0.900 0.000
Np1 0.500 0.500 0.000
Se1 0.000 0.000 0.000
Se2 0.201 0.201 0.000
Se3 0.403 0.403 0.000
Se4 0.597 0.597 0.000
Se5 0.799 0.799 0.000


Entry 8:
Computed powder X-ray diffraction pattern
Compound: Pr2NpSe6
Radiation: Cu Kα
Structure: a structure optimized by DFT (GGA-PBE)
No peak broadening, texture or thermal motion is included.

Peak list (10 most intense, 2θ from 10° to 80°, by angle)
2θ/deg  I_rel
18.5  100.0
24.5  43.0
27.8  41.8
36.2  92.9
37.4  35.8
41.9  17.5
45.2  49.4
46.2  20.2
57.5  30.0
79.1  18.2

Crystal structure
Lattice parameters (Å, degrees): 6.796 6.796 12.929 90.00 90.00 90.00
Positions (direct):
Pr1 0.000 0.000 0.166
Pr2 0.000 0.000 0.834
Pr3 0.500 0.500 0.334
Pr4 0.500 0.500 0.666
Np1 0.000 0.000 0.500
Np2 0.500 0.500 0.000
Se1 0.191 0.191 0.347
Se2 0.191 0.191 0.653
Se3 0.215 0.215 0.000
Se4 0.285 0.715 0.500
Se5 0.309 0.691 0.153
Se6 0.309 0.691 0.847
Se7 0.691 0.309 0.153
Se8 0.691 0.309 0.847
Se9 0.715 0.285 0.500
Se10 0.785 0.785 0.000
Se11 0.809 0.809 0.347
Se12 0.809 0.809 0.653


> Which formula does entry 2 have?

PrNpRu